1.
Diffraction record for BaCdSnS4. The X-ray powder pattern is calculated, not measured: it uses a PBE-relaxed structure and Cu Kα (λ = 1.5418 Å).
Lines closer than 0.1° are merged.

Main lines, sorted by position (2θ from 5° to 70°):
Position (°2θ), Rel. int.
16.0, 24
22.4, 100
22.9, 38
27.9, 54
32.4, 37
35.5, 76
43.3, 32
44.9, 18

Crystal structure
```
BaCdSnS4
1.0
0.0000 11.0567 6.6444
10.9430 0.0000 6.6444
10.9430 11.0567 0.0000
Ba Cd Sn S
8 8 8 32
direct
0.0000 0.0000 0.0000
0.2490 0.7472 0.2555
0.2500 0.2500 0.2500
0.4958 0.4958 0.5042
0.5016 0.9945 0.5028
0.7458 0.7458 0.7542
0.7472 0.2490 0.7484
0.9945 0.5016 0.0010
0.1650 0.7651 0.5862
0.2333 0.2584 0.5184
0.2584 0.2333 0.9900
0.2600 0.7316 0.9916
0.6638 0.7662 0.0850
0.7316 0.2600 0.0167
0.7651 0.1650 0.4838
0.7662 0.6638 0.4849
0.0087 0.9825 0.7406
0.0920 0.4795 0.6571
0.4795 0.0920 0.7714
0.4786 0.5929 0.7705
0.5094 0.9818 0.2413
0.5929 0.4786 0.1580
0.9818 0.5094 0.2675
0.9825 0.0087 0.2682
0.0199 0.2006 0.0605
0.0234 0.7022 0.0578
0.0305 0.6937 0.5493
0.0334 0.1922 0.5478
0.1895 0.5310 0.2301
0.1922 0.0334 0.2266
0.1984 0.5205 0.7220
0.2006 0.0199 0.7190
0.2752 0.4464 0.9717
0.2783 0.9433 0.9748
0.2799 0.4706 0.4711
0.3162 0.9766 0.4349
0.4464 0.2752 0.3067
0.4676 0.7781 0.2850
0.4706 0.2799 0.7785
0.4715 0.7789 0.7794
0.5205 0.1984 0.5591
0.5235 0.7007 0.5563
0.5280 0.6909 0.0516
0.5310 0.1895 0.0494
0.6909 0.5280 0.7295
0.6937 0.0305 0.7265
0.7007 0.5235 0.2195
0.7022 0.0234 0.2166
0.7781 0.4676 0.4694
0.7789 0.4715 0.9701
0.7806 0.9650 0.4719
0.8151 0.9777 0.9338
0.9433 0.2783 0.8036
0.9650 0.7806 0.7824
0.9766 0.3162 0.2723
0.9777 0.8151 0.2734
```



2.
Diffraction record for ErTm2Tl3AgPt2. The X-ray powder pattern is calculated, not measured: it uses a PBE-relaxed structure and Cu Kα (λ = 1.5418 Å).
Lines closer than 0.1° are merged.

Main lines, sorted by position (2θ from 5° to 70°):
Position (°2θ), Rel. int.
33.1, 100
34.7, 50
35.7, 79
39.5, 53
42.6, 25
49.0, 22
64.5, 36
64.7, 25

Crystal structure
```
ErTm2Tl3AgPt2
1.0
3.7175 0.0000 0.0000
0.0000 6.8432 3.9466
0.0000 -6.8432 3.9466
Er Tm Tl Ag Pt
1 2 3 1 2
direct
0.0000 0.0000 0.0000
0.0000 0.4099 0.8199
0.0000 0.8199 0.4099
0.5000 0.1382 0.4100
0.5000 0.4100 0.1382
0.5000 0.6813 0.6813
0.0000 0.4101 0.4101
0.5000 0.0767 0.7426
0.5000 0.7426 0.0767
```



3.
Diffraction record for CsYTm. The X-ray powder pattern is calculated, not measured: it uses a PBE-relaxed structure and Cu Kα (λ = 1.5418 Å).
Lines closer than 0.1° are merged.

Main lines, sorted by position (2θ from 5° to 70°):
Position (°2θ), Rel. int.
17.9, 15
20.7, 33
29.4, 100
42.0, 19
47.3, 15
52.1, 40
61.0, 12
69.1, 17

Crystal structure
```
CsYTm
1.0
8.5977 0.0000 0.0000
0.0000 8.5977 0.0000
0.0000 0.0000 8.5977
Cs Y Tm
4 4 4
direct
0.0000 0.0000 0.0000
0.0000 0.5000 0.5000
0.5000 0.0000 0.5000
0.5000 0.5000 0.0000
0.2500 0.2500 0.2500
0.2500 0.7500 0.7500
0.7500 0.2500 0.7500
0.7500 0.7500 0.2500
0.0000 0.0000 0.5000
0.0000 0.5000 0.0000
0.5000 0.0000 0.0000
0.5000 0.5000 0.5000
```



4.
Diffraction record for Li4TcPtO6. The X-ray powder pattern is calculated, not measured: it uses a PBE-relaxed structure and Cu Kα (λ = 1.5418 Å).
Lines closer than 0.1° are merged.

Main lines, sorted by position (2θ from 5° to 70°):
Position (°2θ), Rel. int.
18.4, 100
20.0, 26
20.9, 47
23.5, 36
27.3, 24
35.6, 37
37.2, 29
43.3, 44

Crystal structure
```
Li4TcPtO6
1.0
2.5692 -4.4361 0.0000
2.5692 4.4361 0.0000
-1.7307 0.0000 4.8167
Li Tc Pt O
4 1 1 6
direct
0.0000 0.0000 0.0000
0.1609 0.8391 0.5000
0.4983 0.5017 0.5000
0.8406 0.1594 0.5000
0.6669 0.3331 0.0000
0.3336 0.6664 0.0000
0.0782 0.4233 0.2392
0.2632 0.2611 0.7572
0.4257 0.0829 0.2398
0.5767 0.9218 0.7608
0.7389 0.7368 0.2428
0.9171 0.5743 0.7602
```



5.
Diffraction record for Sr2InOsN6. The X-ray powder pattern is calculated, not measured: it uses a PBE-relaxed structure and Cu Kα (λ = 1.5418 Å).
Lines closer than 0.1° are merged.

Main lines, sorted by position (2θ from 5° to 70°):
Position (°2θ), Rel. int.
30.4, 49
30.7, 100
30.9, 49
31.1, 48
31.2, 49
43.9, 27
44.2, 26
55.0, 30

Crystal structure
```
Sr2InOsN6
1.0
5.7272 0.0000 0.0000
2.8364 5.0070 0.0000
2.8008 1.7087 4.7984
Sr In Os N
2 1 1 6
direct
0.2485 0.2472 0.2562
0.7515 0.7528 0.7438
0.0000 0.0000 0.0000
0.5000 0.5000 0.5000
0.2234 0.3075 0.6968
0.2416 0.7726 0.6976
0.3332 0.7396 0.2041
0.6668 0.2604 0.7959
0.7584 0.2274 0.3024
0.7766 0.6925 0.3032
```



6.
Diffraction record for Na4ZnGa3. The X-ray powder pattern is calculated, not measured: it uses a PBE-relaxed structure and Cu Kα (λ = 1.5418 Å).
Lines closer than 0.1° are merged.

Main lines, sorted by position (2θ from 5° to 70°):
Position (°2θ), Rel. int.
22.5, 45
37.1, 100
37.2, 50
43.9, 15
53.2, 8
53.6, 16
66.7, 16
67.0, 32

Crystal structure
```
Na4ZnGa3
1.0
4.8367 0.0000 0.0000
0.0000 4.8367 0.0000
0.0000 0.0000 6.8830
Na Zn Ga
4 1 3
direct
0.0000 0.0000 0.0000
0.0000 0.5000 0.7468
0.5000 0.0000 0.2532
0.5000 0.5000 0.5000
0.0000 0.0000 0.5000
0.0000 0.5000 0.2516
0.5000 0.0000 0.7484
0.5000 0.5000 0.0000
```



7.
Diffraction record for Nb3Ge. The X-ray powder pattern is calculated, not measured: it uses a PBE-relaxed structure and Cu Kα (λ = 1.5418 Å).
Lines closer than 0.1° are merged.

Main lines, sorted by position (2θ from 5° to 70°):
Position (°2θ), Rel. int.
35.6, 100
36.2, 71
36.8, 62
38.9, 48
39.7, 87
42.2, 56
44.1, 26
44.6, 36

Crystal structure
```
Nb3Ge
1.0
10.3550 0.0000 0.0000
0.0000 10.3550 0.0000
0.0000 0.0000 5.2768
Nb Ge
24 8
direct
0.0372 0.9399 0.2350
0.0601 0.5372 0.7350
0.1014 0.2667 0.0295
0.1537 0.8340 0.7138
0.1660 0.6537 0.2138
0.2333 0.1014 0.4705
0.2667 0.3986 0.4705
0.3340 0.8463 0.2138
0.3463 0.6660 0.7138
0.3986 0.2333 0.0295
0.4399 0.9628 0.7350
0.4628 0.5601 0.2350
0.5372 0.4399 0.7650
0.5601 0.0372 0.2650
0.6014 0.7667 0.9705
0.6537 0.3340 0.2862
0.6660 0.1537 0.7862
0.7333 0.6014 0.5295
0.7667 0.8986 0.5295
0.8340 0.3463 0.7862
0.8463 0.1660 0.2862
0.8986 0.7333 0.9705
0.9399 0.4628 0.2650
0.9628 0.0601 0.7650
0.0454 0.2776 0.5336
0.2224 0.0454 0.9664
0.2776 0.4546 0.9664
0.4546 0.2224 0.5336
0.5454 0.7776 0.4664
0.7224 0.5454 0.0336
0.7776 0.9546 0.0336
0.9546 0.7224 0.4664
```



8.
Diffraction record for TmHfInC. The X-ray powder pattern is calculated, not measured: it uses a PBE-relaxed structure and Cu Kα (λ = 1.5418 Å).
Lines closer than 0.1° are merged.

Main lines, sorted by position (2θ from 5° to 70°):
Position (°2θ), Rel. int.
30.2, 22
34.8, 21
35.0, 100
46.8, 16
53.7, 20
62.5, 18
65.6, 20
65.7, 16

Crystal structure
```
TmHfInC
1.0
3.4122 0.0000 0.0000
-1.7061 2.9551 0.0000
0.0000 0.0000 15.4740
Tm Hf In C
2 2 2 2
direct
0.0000 0.0000 0.1719
0.0000 0.0000 0.8281
0.3333 0.6667 0.3378
0.3333 0.6667 0.6622
0.0000 0.0000 0.5000
0.3333 0.6667 0.0000
0.6667 0.3333 0.2657
0.6667 0.3333 0.7343
```